This entry pairs a crystal structure of CaPHO4 with its calculated X-ray diffraction stick pattern. Radiation: λ = 1.5418 Å (Cu Kα). Structure: DFT lattice parameters and positions (PBE).

```
data_CaPHO4
_chemical_formula_sum 'Ca4 P4 H4 O16'
_cell_length_a 6.720
_cell_length_b 6.981
_cell_length_c 7.097
_cell_angle_alpha 75.72
_cell_angle_beta 83.36
_cell_angle_gamma 88.18
_symmetry_space_group_name_H-M 'P 1'
_symmetry_Int_Tables_number 1
_symmetry_space_group_name_Hall 'P 1'
loop_
_atom_site_label
_atom_site_type_symbol
_atom_site_fract_x
_atom_site_fract_y
_atom_site_fract_z
_atom_site_occupancy
Ca1 Ca 0.000 0.000 0.000 1
Ca2 Ca 0.117 0.408 0.545 1
Ca3 Ca 0.394 0.899 0.604 1
Ca4 Ca 0.718 0.549 0.942 1
P1 P 0.179 0.502 0.987 1
P2 P 0.500 0.999 0.059 1
P3 P 0.607 0.403 0.476 1
P4 P 0.938 0.914 0.547 1
H1 H 0.301 0.253 0.216 1
H2 H 0.562 0.701 0.293 1
H3 H 0.678 0.240 0.809 1
H4 H 0.825 0.173 0.318 1
O1 O 0.033 0.669 0.013 1
O2 O 0.046 0.054 0.642 1
O3 O 0.066 0.359 0.899 1
O4 O 0.082 0.747 0.519 1
O5 O 0.222 0.385 0.205 1
O6 O 0.348 0.987 0.920 1
O7 O 0.378 0.572 0.866 1
O8 O 0.404 0.048 0.248 1
O9 O 0.436 0.255 0.555 1
O10 O 0.503 0.616 0.432 1
O11 O 0.637 0.813 0.103 1
O12 O 0.663 0.172 0.959 1
O13 O 0.727 0.377 0.285 1
O14 O 0.736 0.845 0.665 1
O15 O 0.753 0.395 0.633 1
O16 O 0.899 0.037 0.330 1
```

Main lines, sorted by position (15° ≤ 2θ ≤ 90°):
2theta, I/Imax, index
26.07, 75, 0 0 2
26.36, 86, 0 2 0
28.05, 21, 1 1 2
29.85, 100, 2 -1 0
29.95, 35, 2 1 1
32.33, 65, 0 2 2
35.45, 21, 2 0 2
46.80, 19, 2 3 1
48.81, 20, 2 -3 0
52.47, 24, -2 3 2